La5Re: theoretical X-ray powder pattern (Cu Kα), based on a DFT-relaxed cell (PBE, Alexandria).
Kinematic intensities with the Lorentz-polarization factor, no thermal factor.

Largest 10 diffraction maxima, sorted by position, 2θ from 10° to 90°:
3.446 Å, intensity 37
2.915 Å, intensity 43
2.744 Å, intensity 100
2.733 Å, intensity 73
2.477 Å, intensity 44
1.822 Å, intensity 30
1.737 Å, intensity 30
1.723 Å, intensity 38
1.478 Å, intensity 23
1.252 Å, intensity 17

Atomic structure:
Cell: 6.036 6.036 6.036 Å, 69.62 69.62 69.62°
Atoms (fractional coordinates):
La 0.000 0.500 0.500
La 0.121 0.121 0.121
La 0.500 0.000 0.500
La 0.500 0.500 0.000
La 0.879 0.879 0.879
Re 0.500 0.500 0.500

***

LaRe: theoretical X-ray powder pattern (Cu Kα), based on a DFT-relaxed cell (PBE, Alexandria).
Kinematic intensities with the Lorentz-polarization factor, no thermal factor.

Largest 10 diffraction maxima, sorted by position, 2θ from 10° to 90°:
4.858 Å, intensity 77
3.011 Å, intensity 93
2.778 Å, intensity 45
2.679 Å, intensity 54
2.592 Å, intensity 77
2.314 Å, intensity 100
2.204 Å, intensity 34
2.093 Å, intensity 43
1.640 Å, intensity 45
1.628 Å, intensity 38

Atomic structure:
Cell: 8.670 4.185 5.864 Å, 90.00 90.00 90.00°
Atoms (fractional coordinates):
La 0.177 0.250 0.094
La 0.323 0.750 0.594
La 0.677 0.250 0.406
La 0.823 0.750 0.906
Re 0.041 0.250 0.584
Re 0.459 0.750 0.084
Re 0.541 0.250 0.916
Re 0.959 0.750 0.416

***

LaReS3: theoretical X-ray powder pattern (Cu Kα), based on a DFT-relaxed cell (PBE, Alexandria).
Kinematic intensities with the Lorentz-polarization factor, no thermal factor.

Largest 10 diffraction maxima, sorted by position, 2θ from 10° to 90°:
4.689 Å, intensity 9
3.316 Å, intensity 100
2.345 Å, intensity 42
1.914 Å, intensity 44
1.658 Å, intensity 28
1.483 Å, intensity 19
1.354 Å, intensity 10
1.253 Å, intensity 22
1.172 Å, intensity 5
1.105 Å, intensity 12

Atomic structure:
Cell: 4.689 4.689 4.689 Å, 90.00 90.00 90.00°
Atoms (fractional coordinates):
La 0.000 0.000 0.000
Re 0.500 0.500 0.500
S 0.000 0.500 0.500
S 0.500 0.000 0.500
S 0.500 0.500 0.000